(1)
Pm2SmEr5Tm: simulated X-ray powder pattern (Cu Ka), based on the PBE geometry in Alexandria.
Neutral-atom scattering factors, no anomalous dispersion.

Cell and atoms:
abc: 8.664 8.664 15.344
angles: 90.00 90.00 90.00
Space group I4/mcm (No. 140)
Unique sites:
Pm  0.116  0.384  0.000
Sm  0.000  0.000  0.250
Er  0.000  0.000  0.000
Er  0.211  0.289  0.362
Tm  0.000  0.500  0.250

Top 10 peaks for 10° ≤ 2θ ≤ 90°, sorted by position:
hkl 2 1 3, 28.9 deg, rel. 45; hkl 2 2 0, 29.2 deg, rel. 52; hkl 2 0 4, 31.1 deg, rel. 100; hkl 3 1 0, 32.7 deg, rel. 11; hkl 3 1 2, 34.8 deg, rel. 11; hkl 3 2 1, 37.9 deg, rel. 16; hkl 4 0 2, 43.4 deg, rel. 20; hkl 0 0 8, 47.4 deg, rel. 12; hkl 4 2 4, 52.9 deg, rel. 23; hkl 2 2 8, 56.6 deg, rel. 13

***

(2)
Rb3Th3BeS8: simulated X-ray powder pattern (Cu Ka), based on the PBE geometry in Alexandria.
Neutral-atom scattering factors, no anomalous dispersion.

Cell and atoms:
abc: 14.035 8.104 9.184
angles: 90.00 120.63 90.00
Space group C2/m (No. 12)
Unique sites:
Rb  0.000  0.000  0.000
Rb  0.250  0.250  0.000
Th  0.000  0.500  0.500
Th  0.250  0.250  0.500
Be  0.000  0.000  0.500
S  0.019  0.230  0.327
S  0.208  0.000  0.671
S  0.236  0.500  0.708

Top 10 peaks for 10° ≤ 2θ ≤ 90°, sorted by position:
hkl 0 0 1, 11.2 deg, rel. 65; hkl 1 1 -1, 14.7 deg, rel. 34; hkl 0 0 2, 22.5 deg, rel. 28; hkl 2 2 0, 26.5 deg, rel. 45; hkl 2 2 -2, 29.6 deg, rel. 100; hkl 4 0 -4, 39.8 deg, rel. 36; hkl 0 4 0, 44.7 deg, rel. 33; hkl 4 0 2, 46.2 deg, rel. 30; hkl 6 2 0, 50.6 deg, rel. 22; hkl 8 0 -4, 54.5 deg, rel. 17

***

(3)
ZrCr2Se: simulated X-ray powder pattern (Cu Ka), based on the PBE geometry in Alexandria.
Neutral-atom scattering factors, no anomalous dispersion.

Cell and atoms:
abc: 3.284 4.378 4.728
angles: 90.00 90.00 90.00
Space group Pmmm (No. 47)
Unique sites:
Zr  0.000  0.000  0.000
Cr  0.000  0.500  0.500
Cr  0.500  0.000  0.500
Se  0.500  0.500  0.000

Top 10 peaks for 10° ≤ 2θ ≤ 90°, sorted by position:
hkl 0 0 1, 18.8 deg, rel. 9; hkl 0 0 2, 38.1 deg, rel. 27; hkl 1 1 1, 39.2 deg, rel. 100; hkl 0 2 0, 41.2 deg, rel. 22; hkl 2 0 0, 56.0 deg, rel. 8; hkl 0 2 2, 57.4 deg, rel. 15; hkl 1 1 3, 69.6 deg, rel. 17; hkl 2 0 2, 69.7 deg, rel. 8; hkl 1 3 1, 73.8 deg, rel. 14; hkl 2 2 2, 84.4 deg, rel. 10

***

(4)
LaNd2ErTm: simulated X-ray powder pattern (Cu Ka), based on the PBE geometry in Alexandria.
Neutral-atom scattering factors, no anomalous dispersion.

Cell and atoms:
abc: 8.989 6.401 6.385
angles: 90.00 106.15 90.00
Space group P2/c (No. 13)
Unique sites:
La  0.000  0.000  0.000
Nd  0.318  0.315  0.170
Er  0.000  0.478  0.750
Tm  0.500  0.167  0.750

Top 10 peaks for 10° ≤ 2θ ≤ 90°, sorted by position:
hkl 2 0 0, 20.6 deg, rel. 55; hkl 1 0 -2, 28.0 deg, rel. 49; hkl 1 2 0, 29.8 deg, rel. 100; hkl 3 0 0, 31.1 deg, rel. 35; hkl 2 1 1, 31.7 deg, rel. 69; hkl 1 2 -1, 31.9 deg, rel. 50; hkl 3 1 -1, 33.6 deg, rel. 50; hkl 2 2 0, 34.9 deg, rel. 36; hkl 1 1 2, 36.5 deg, rel. 54; hkl 3 1 -2, 39.1 deg, rel. 50

***

(5)
FeIN2Cl: simulated X-ray powder pattern (Cu Ka), based on the PBE geometry in Alexandria.
Neutral-atom scattering factors, no anomalous dispersion.

Cell and atoms:
abc: 3.729 3.729 6.482
angles: 90.00 90.00 90.00
Space group P4/mmm (No. 123)
Unique sites:
Fe  0.000  0.000  0.000
I  0.000  0.000  0.500
N  0.000  0.500  0.000
Cl  0.500  0.500  0.500

Top 10 peaks for 10° ≤ 2θ ≤ 90°, sorted by position:
hkl 0 0 1, 13.7 deg, rel. 38; hkl 1 0 0, 23.9 deg, rel. 88; hkl 0 0 2, 27.5 deg, rel. 94; hkl 1 1 0, 34.0 deg, rel. 60; hkl 1 0 2, 36.8 deg, rel. 100; hkl 1 1 2, 44.3 deg, rel. 57; hkl 2 0 0, 48.8 deg, rel. 33; hkl 2 1 0, 55.1 deg, rel. 18; hkl 2 0 2, 57.0 deg, rel. 42; hkl 2 1 2, 62.6 deg, rel. 24

***

(6)
BaTi4AlO7: simulated X-ray powder pattern (Cu Ka), based on the PBE geometry in Alexandria.
Neutral-atom scattering factors, no anomalous dispersion.

Cell and atoms:
abc: 6.0668 6.0668 10.2455
angles: 90.00 90.00 120.00
Space group P6_3mc (No. 186)
Unique sites:
Ba  0.3333  0.6667  0.0000
Ti  0.0000  0.0000  0.4782
Ti  0.1648  0.3296  0.6794
Al  0.3333  0.6667  0.3686
O  0.0000  0.0000  0.2837
O  0.0343  0.5172  0.2556
O  0.1864  0.3729  0.4869

Top 10 peaks for 10° ≤ 2θ ≤ 90°, sorted by position:
hkl 1 0 1, 19.0 deg, rel. 31; hkl 1 1 0, 29.4 deg, rel. 33; hkl 1 0 3, 31.2 deg, rel. 64; hkl 1 1 2, 34.4 deg, rel. 88; hkl 0 0 4, 35.0 deg, rel. 24; hkl 2 0 1, 35.3 deg, rel. 100; hkl 2 1 3, 53.4 deg, rel. 33; hkl 3 0 2, 55.4 deg, rel. 21; hkl 2 0 5, 57.0 deg, rel. 34; hkl 2 2 0, 61.1 deg, rel. 33

***

Please write out number 1 again, unchanged.
Pm2SmEr5Tm: simulated X-ray powder pattern (Cu Ka), based on the PBE geometry in Alexandria.
Neutral-atom scattering factors, no anomalous dispersion.

Cell and atoms:
abc: 8.664 8.664 15.344
angles: 90.00 90.00 90.00
Space group I4/mcm (No. 140)
Unique sites:
Pm  0.116  0.384  0.000
Sm  0.000  0.000  0.250
Er  0.000  0.000  0.000
Er  0.211  0.289  0.362
Tm  0.000  0.500  0.250

Top 10 peaks for 10° ≤ 2θ ≤ 90°, sorted by position:
hkl 2 1 3, 28.9 deg, rel. 45; hkl 2 2 0, 29.2 deg, rel. 52; hkl 2 0 4, 31.1 deg, rel. 100; hkl 3 1 0, 32.7 deg, rel. 11; hkl 3 1 2, 34.8 deg, rel. 11; hkl 3 2 1, 37.9 deg, rel. 16; hkl 4 0 2, 43.4 deg, rel. 20; hkl 0 0 8, 47.4 deg, rel. 12; hkl 4 2 4, 52.9 deg, rel. 23; hkl 2 2 8, 56.6 deg, rel. 13